# 1
Structure and calculated powder X-ray diffraction pattern of Ac4Au2O (a crystal structure in Alexandria, relaxed with PBE; Cu Kα).

Principal peaks in the range 2θ from 10° to 90°, most intense first:
- 31.8 deg, rel. 100, hkl 1 2 -2
- 26.0 deg, rel. 72, hkl 1 2 0
- 30.6 deg, rel. 45, hkl 1 1 2
- 30.8 deg, rel. 45, hkl 2 1 -2
- 45.1 deg, rel. 42, hkl 3 2 0
- 28.5 deg, rel. 35, hkl 2 0 -2
- 28.4 deg, rel. 34, hkl 1 0 2
- 42.7 deg, rel. 28, hkl 1 0 -4
- 40.2 deg, rel. 24, hkl 3 1 0
- 46.3 deg, rel. 23, hkl 0 4 0

Atomic structure:
Cell: 7.315 7.839 8.468 Å, 90.00 106.56 90.00°
Space group P2_1/m (No. 11)
One atom of each set of equivalent atoms:
1 Ac 0.012 0.009 0.251
2 Ac 0.433 0.250 0.599
3 Ac 0.450 0.250 0.123
4 Au 0.208 0.750 0.546
5 Au 0.221 0.750 0.060
6 O 0.248 0.250 0.310

***

# 2
Structure and calculated powder X-ray diffraction pattern of KBaAuSe2 (a crystal structure in Alexandria, relaxed with PBE; Cu Kα).

Principal peaks in the range 2θ from 10° to 90°, most intense first:
- 10.9 deg, rel. 100, hkl 0 2 0
- 27.9 deg, rel. 58, hkl 2 2 1
- 33.9 deg, rel. 43, hkl 2 4 1
- 25.6 deg, rel. 36, hkl 2 0 1
- 19.3 deg, rel. 25, hkl 2 0 0
- 40.4 deg, rel. 21, hkl 0 4 2
- 35.4 deg, rel. 21, hkl 0 2 2
- 42.3 deg, rel. 19, hkl 2 6 1
- 25.4 deg, rel. 18, hkl 1 3 1
- 39.2 deg, rel. 16, hkl 4 0 0

Atomic structure:
Cell: 9.182 16.231 5.342 Å, 90.00 90.00 90.00°
Space group Cmme (No. 67)
One atom of each set of equivalent atoms:
1 K 0.000 0.250 0.218
2 Ba 0.250 0.000 0.500
3 Au 0.000 0.000 0.000
4 Se 0.000 0.123 0.733

***

# 3
Structure and calculated powder X-ray diffraction pattern of FeMoPt14 (a crystal structure in Alexandria, relaxed with PBE; Cu Kα).

Principal peaks in the range 2θ from 10° to 90°, most intense first:
- 39.5 deg, rel. 100, hkl 2 0 2
- 45.7 deg, rel. 33, hkl 2 2 0
- 80.3 deg, rel. 26, hkl 4 2 2
- 67.0 deg, rel. 21, hkl 2 2 4
- 46.2 deg, rel. 16, hkl 0 0 4
- 81.0 deg, rel. 12, hkl 2 0 6
- 84.9 deg, rel. 11, hkl 4 0 4
- 66.6 deg, rel. 11, hkl 4 0 0
- 25.1 deg, rel. 2, hkl 1 1 1
- 33.9 deg, rel. 2, hkl 2 0 1

Atomic structure:
Cell: 5.614 5.614 7.856 Å, 90.00 90.00 90.00°
Space group P4/mmm (No. 123)
One atom of each set of equivalent atoms:
1 Fe 0.000 0.000 0.000
2 Mo 0.500 0.500 0.000
3 Pt 0.000 0.000 0.500
4 Pt 0.000 0.500 0.000
5 Pt 0.000 0.500 0.500
6 Pt 0.250 0.250 0.242
7 Pt 0.500 0.500 0.500

***

# 4
Structure and calculated powder X-ray diffraction pattern of Ac6Mg5In (a crystal structure in Alexandria, relaxed with PBE; Cu Kα).

Principal peaks in the range 2θ from 10° to 90°, most intense first:
- 30.8 deg, rel. 100, hkl 1 2 1
- 21.6 deg, rel. 55, hkl 1 0 1
- 54.6 deg, rel. 20, hkl 3 2 0
- 54.7 deg, rel. 20, hkl 0 4 3
- 37.9 deg, rel. 18, hkl 0 2 3
- 49.6 deg, rel. 15, hkl 1 4 1
- 44.0 deg, rel. 13, hkl 2 0 2
- 49.5 deg, rel. 11, hkl 3 0 0
- 64.1 deg, rel. 11, hkl 4 0 -2
- 89.1 deg, rel. 9, hkl 4 4 1

Atomic structure:
Cell: 5.813 8.209 9.199 Å, 90.00 108.30 90.00°
Space group P2/m (No. 10)
One atom of each set of equivalent atoms:
1 Ac 0.000 0.247 0.000
2 Ac 0.334 0.250 0.668
3 Mg 0.167 0.500 0.333
4 Mg 0.171 0.000 0.341
5 Mg 0.500 0.500 0.000
6 In 0.500 0.000 0.000

***

# 5
Structure and calculated powder X-ray diffraction pattern of Pr5SmTm2 (a crystal structure in Alexandria, relaxed with PBE; Cu Kα).

Principal peaks in the range 2θ from 10° to 90°, most intense first:
- 30.1 deg, rel. 100, hkl 2 1 3
- 30.2 deg, rel. 66, hkl 3 1 0
- 57.3 deg, rel. 26, hkl 5 2 3
- 40.8 deg, rel. 14, hkl 3 3 0
- 45.3 deg, rel. 11, hkl 4 1 3
- 53.3 deg, rel. 10, hkl 3 1 6
- 43.2 deg, rel. 10, hkl 4 2 0
- 26.9 deg, rel. 9, hkl 2 2 0
- 77.7 deg, rel. 9, hkl 7 3 0
- 60.7 deg, rel. 9, hkl 3 3 6

Atomic structure:
Cell: 9.364 9.364 12.661 Å, 90.00 90.00 90.00°
Space group I4/mcm (No. 140)
One atom of each set of equivalent atoms:
1 Pr 0.000 0.000 0.000
2 Pr 0.149 0.351 0.163
3 Sm 0.000 0.000 0.250
4 Tm 0.147 0.353 0.500

***

# 6
Structure and calculated powder X-ray diffraction pattern of Pm8DyTm5 (a crystal structure in Alexandria, relaxed with PBE; Cu Kα).

Principal peaks in the range 2θ from 10° to 90°, most intense first:
- 30.6 deg, rel. 100, hkl 3 1 -3
- 31.9 deg, rel. 89, hkl 1 3 1
- 29.9 deg, rel. 88, hkl 3 1 0
- 32.1 deg, rel. 71, hkl 1 3 -2
- 32.8 deg, rel. 67, hkl 0 0 3
- 27.9 deg, rel. 61, hkl 1 3 0
- 25.8 deg, rel. 41, hkl 3 1 -1
- 36.5 deg, rel. 29, hkl 4 2 -2
- 57.9 deg, rel. 28, hkl 1 3 4
- 32.5 deg, rel. 26, hkl 2 2 -3

Atomic structure:
Cell: 11.250 10.228 9.809 Å, 90.00 123.48 90.00°
Space group C2 (No. 5)
One atom of each set of equivalent atoms:
1 Pm 0.039 0.000 0.191
2 Pm 0.134 0.709 0.457
3 Pm 0.163 0.248 0.820
4 Pm 0.194 0.386 0.173
5 Dy 0.000 0.687 0.000
6 Tm 0.000 0.046 0.500
7 Tm 0.127 0.400 0.482
8 Tm 0.173 0.560 0.831

***

# 7
Structure and calculated powder X-ray diffraction pattern of Sm3YBi3 (a crystal structure in Alexandria, relaxed with PBE; Cu Kα).

Principal peaks in the range 2θ from 10° to 90°, most intense first:
- 29.6 deg, rel. 100, hkl 3 0 1
- 35.2 deg, rel. 65, hkl 3 1 2
- 59.8 deg, rel. 31, hkl 6 1 1
- 42.4 deg, rel. 21, hkl 4 0 2
- 72.9 deg, rel. 21, hkl 7 2 1
- 48.7 deg, rel. 20, hkl 4 3 1
- 22.8 deg, rel. 16, hkl 2 1 1
- 44.5 deg, rel. 15, hkl 3 3 2
- 63.2 deg, rel. 15, hkl 5 4 1
- 46.6 deg, rel. 12, hkl 4 2 2

Atomic structure:
Cell: 9.540 9.540 9.540 Å, 90.00 90.00 90.00°
Space group P2_13 (No. 198)
One atom of each set of equivalent atoms:
1 Sm 0.069 0.431 0.569
2 Sm 0.177 0.823 0.323
3 Sm 0.178 0.178 0.178
4 Y 0.073 0.573 0.927
5 Bi 0.001 0.254 0.873